(1)
For AcAl3, a GGA-PBE-relaxed structure gives the calculated X-ray diffraction stick pattern in this record (Cu Kα).
Lines closer than 0.1° are merged.

```
data_AcAl3
_chemical_formula_sum 'Ac6 Al18'
_symmetry_space_group_name_H-M 'P 63/m m c'
_symmetry_Int_Tables_number 194
_symmetry_space_group_name_Hall '-P 6c 2c'
_cell_length_a 5.8432
_cell_length_b 5.8432
_cell_length_c 18.5021
_cell_angle_alpha 90.00
_cell_angle_beta 90.00
_cell_angle_gamma 120.00
loop_
_atom_site_label
_atom_site_type_symbol
_atom_site_fract_x
_atom_site_fract_y
_atom_site_fract_z
Ac1 Ac 0.3333 0.6667 0.0400
Ac2 Ac 0.3333 0.6667 0.2500
Al1 Al 0.0000 0.0000 0.0000
Al2 Al 0.0000 0.0000 0.2500
Al3 Al 0.1689 0.3377 0.6307
Al4 Al 0.3333 0.6667 0.7500
```

Peak list (10 most intense, 2θ from 10° to 90°, by angle)
Position (°2θ)  I_rel  h k l
17.53  37.1  1 0 0
18.17  49.9  1 0 1
19.19  20.5  0 0 4
29.91  100.0  1 0 5
30.60  68.8  1 1 0
35.82  25.7  2 0 1
36.37  64.4  1 1 4
43.32  20.0  2 0 5
47.77  24.7  1 0 9
53.97  39.2  2 1 5

---

(2)
For AcAlAsO2, a GGA-PBE-relaxed structure gives the calculated X-ray diffraction stick pattern in this record (Cu Kα).
Lines closer than 0.1° are merged.

```
data_AcAlAsO2
_chemical_formula_sum 'Ac4 Al4 As4 O8'
_symmetry_space_group_name_H-M 'C m c m'
_symmetry_Int_Tables_number 63
_symmetry_space_group_name_Hall '-C 2c 2'
_cell_length_a 5.7878
_cell_length_b 12.8493
_cell_length_c 5.3280
_cell_angle_alpha 90.00
_cell_angle_beta 90.00
_cell_angle_gamma 90.00
loop_
_atom_site_label
_atom_site_type_symbol
_atom_site_fract_x
_atom_site_fract_y
_atom_site_fract_z
Ac1 Ac 0.0000 0.1201 0.2500
Al1 Al 0.0000 0.4830 0.7500
As1 As 0.0000 0.2684 0.7500
O1 O 0.2191 0.5000 0.0000
```

Peak list (10 most intense, 2θ from 10° to 90°, by angle)
Position (°2θ)  I_rel  h k l
16.80  36.7  1 1 0
21.67  93.3  0 2 1
25.88  22.3  1 3 0
30.92  100.0  2 0 0
33.64  22.3  0 0 2
38.06  44.9  2 2 1
38.32  23.1  1 5 0
42.04  31.9  1 5 1
46.32  27.1  2 0 2
51.91  20.2  1 5 2

---

(3)
For Ac6Al2Au, a GGA-PBE-relaxed structure gives the calculated X-ray diffraction stick pattern in this record (Cu Kα).
Lines closer than 0.1° are merged.

```
data_Ac6Al2Au
_chemical_formula_sum 'Ac12 Al4 Au2'
_symmetry_space_group_name_H-M 'P 1 21/c 1'
_symmetry_Int_Tables_number 14
_cell_length_a 6.9893
_cell_length_b 9.1218
_cell_length_c 12.3476
_cell_angle_alpha 90.00
_cell_angle_beta 121.59
_cell_angle_gamma 90.00
loop_
_symmetry_equiv_pos_as_xyz
'x,y,z'
'-x,-y,-z'
'-x,y+1/2,-z+1/2'
'x,-y+1/2,z+1/2'
loop_
_atom_site_label
_atom_site_type_symbol
_atom_site_fract_x
_atom_site_fract_y
_atom_site_fract_z
Ac1 Ac 0.0704 0.1690 0.4391
Ac2 Ac 0.3180 0.6806 0.4353
Ac3 Ac 0.4058 0.0396 0.2736
Al1 Al 0.1805 0.1251 0.7507
Au1 Au 0.0000 0.0000 0.0000
```

Peak list (10 most intense, 2θ from 10° to 90°, by angle)
Position (°2θ)  I_rel  h k l
21.23  35.2  0 2 1
25.03  52.4  1 2 -2
25.86  35.0  0 2 2
27.36  78.6  2 1 -2
27.91  70.7  1 0 2
29.05  76.6  2 1 -3
30.70  38.5  1 1 -4
32.13  100.0  1 3 -1
46.63  38.3  2 3 1
47.58  44.2  0 4 3

---

(4)
For Ac3AlAu2, a GGA-PBE-relaxed structure gives the calculated X-ray diffraction stick pattern in this record (Cu Kα).
Lines closer than 0.1° are merged.

```
data_Ac3AlAu2
_chemical_formula_sum 'Ac18 Al6 Au12'
_symmetry_space_group_name_H-M 'R -3 c'
_symmetry_Int_Tables_number 167
_symmetry_space_group_name_Hall '-R 3 2"c'
_cell_length_a 8.5204
_cell_length_b 8.5204
_cell_length_c 19.4029
_cell_angle_alpha 90.00
_cell_angle_beta 90.00
_cell_angle_gamma 120.00
loop_
_atom_site_label
_atom_site_type_symbol
_atom_site_fract_x
_atom_site_fract_y
_atom_site_fract_z
Ac1 Ac 0.0000 0.2894 0.2500
Al1 Al 0.0000 0.0000 0.0000
Au1 Au 0.0000 0.0000 0.1366
```

Peak list (10 most intense, 2θ from 10° to 90°, by angle)
Position (°2θ)  I_rel  h k l
21.93  13.7  1 0 4
25.03  100.0  1 1 3
30.44  29.4  0 2 4
32.43  13.6  2 1 1
34.83  37.8  1 1 6
36.53  59.9  3 0 0
37.19  26.3  2 1 4
47.25  18.8  1 1 9
57.68  13.6  3 2 4
59.09  18.6  3 1 8

---

(5)
For Ac2AlAu7, a GGA-PBE-relaxed structure gives the calculated X-ray diffraction stick pattern in this record (Cu Kα).
Lines closer than 0.1° are merged.

```
data_Ac2AlAu7
_chemical_formula_sum 'Ac2 Al1 Au7'
_symmetry_space_group_name_H-M 'P -4 m 2'
_symmetry_Int_Tables_number 115
_cell_length_a 4.2462
_cell_length_b 4.2462
_cell_length_c 12.9371
_cell_angle_alpha 90.00
_cell_angle_beta 90.00
_cell_angle_gamma 90.00
loop_
_symmetry_equiv_pos_as_xyz
'x,y,z'
'y,-x,-z'
'-x,-y,z'
'-y,x,-z'
'-x,y,z'
'-y,-x,-z'
'x,-y,z'
'y,x,-z'
loop_
_atom_site_label
_atom_site_type_symbol
_atom_site_fract_x
_atom_site_fract_y
_atom_site_fract_z
Ac1 Ac 0.0000 0.5000 0.2494
Al1 Al 0.0000 0.0000 0.5000
Au1 Au 0.0000 0.0000 0.0000
Au2 Au 0.0000 0.5000 0.6383
Au3 Au 0.0000 0.5000 0.8530
Au4 Au 0.5000 0.5000 0.0000
Au5 Au 0.5000 0.5000 0.5000
```

Peak list (10 most intense, 2θ from 10° to 90°, by angle)
Position (°2θ)  I_rel  h k l
29.52  55.7  1 0 3
32.89  100.0  1 1 2
40.84  54.3  1 0 5
41.02  28.8  1 1 4
42.58  56.1  2 0 0
52.67  22.9  2 1 3
60.47  34.8  2 1 5
61.80  18.9  2 2 0
71.80  21.8  3 1 2
80.91  16.0  1 1 10

---

(6)
For Ac2Al2Au5, a GGA-PBE-relaxed structure gives the calculated X-ray diffraction stick pattern in this record (Cu Kα).
Lines closer than 0.1° are merged.

```
data_Ac2Al2Au5
_chemical_formula_sum 'Ac2 Al2 Au5'
_symmetry_space_group_name_H-M 'P 4/m m m'
_symmetry_Int_Tables_number 123
_symmetry_space_group_name_Hall '-P 4 2'
_cell_length_a 4.9113
_cell_length_b 4.9113
_cell_length_c 8.7262
_cell_angle_alpha 90.00
_cell_angle_beta 90.00
_cell_angle_gamma 90.00
loop_
_atom_site_label
_atom_site_type_symbol
_atom_site_fract_x
_atom_site_fract_y
_atom_site_fract_z
Ac1 Ac 0.0000 0.0000 0.0000
Ac2 Ac 0.0000 0.0000 0.5000
Al1 Al 0.5000 0.5000 0.1610
Au1 Au 0.0000 0.5000 0.2569
Au2 Au 0.5000 0.5000 0.5000
```

Peak list (10 most intense, 2θ from 10° to 90°, by angle)
Position (°2θ)  I_rel  h k l
10.14  7.4  0 0 1
32.97  100.0  1 1 2
36.59  42.5  2 0 0
41.39  13.2  0 0 4
52.72  15.1  2 2 0
56.42  21.7  2 0 4
63.59  31.2  3 1 2
69.14  11.9  2 2 4
70.15  12.6  1 1 6
89.17  7.4  4 2 0

---

(7)
For AcAl6Au12, a GGA-PBE-relaxed structure gives the calculated X-ray diffraction stick pattern in this record (Cu Kα).
Lines closer than 0.1° are merged.

```
data_AcAl6Au12
_chemical_formula_sum 'Ac3 Al18 Au36'
_symmetry_space_group_name_H-M 'R -3 m'
_symmetry_Int_Tables_number 166
_symmetry_space_group_name_Hall '-R 3 2"'
_cell_length_a 11.9509
_cell_length_b 11.9509
_cell_length_c 8.9062
_cell_angle_alpha 90.00
_cell_angle_beta 90.00
_cell_angle_gamma 120.00
loop_
_atom_site_label
_atom_site_type_symbol
_atom_site_fract_x
_atom_site_fract_y
_atom_site_fract_z
Ac1 Ac 0.0000 0.0000 0.0000
Al1 Al 0.0549 0.5274 0.2524
Au1 Au 0.0000 0.3808 0.5000
Au2 Au 0.0844 0.1688 0.3084
```

Peak list (10 most intense, 2θ from 10° to 90°, by angle)
Position (°2θ)  I_rel  h k l
21.73  21.4  0 1 2
25.82  16.1  3 0 0
26.40  15.2  2 0 2
32.78  100.0  1 3 1
33.71  50.9  1 1 3
39.27  15.5  3 2 1
40.07  34.0  0 3 3
48.50  35.9  5 0 2
61.24  13.9  3 1 5
70.58  14.3  4 4 3

---

(8)
For AcAl2Au5, a GGA-PBE-relaxed structure gives the calculated X-ray diffraction stick pattern in this record (Cu Kα).
Lines closer than 0.1° are merged.

```
data_AcAl2Au5
_chemical_formula_sum 'Ac2 Al4 Au10'
_symmetry_space_group_name_H-M 'I m m m'
_symmetry_Int_Tables_number 71
_symmetry_space_group_name_Hall '-I 2 2'
_cell_length_a 4.3039
_cell_length_b 7.1938
_cell_length_c 10.8543
_cell_angle_alpha 90.00
_cell_angle_beta 90.00
_cell_angle_gamma 90.00
loop_
_atom_site_label
_atom_site_type_symbol
_atom_site_fract_x
_atom_site_fract_y
_atom_site_fract_z
Ac1 Ac 0.0000 0.0000 0.0000
Al1 Al 0.0000 0.5000 0.2375
Au1 Au 0.0000 0.2018 0.3596
Au2 Au 0.0000 0.5000 0.0000
```

Peak list (10 most intense, 2θ from 10° to 90°, by angle)
Position (°2θ)  I_rel  h k l
29.80  23.0  0 2 2
32.32  95.2  1 0 3
33.50  100.0  1 2 1
41.69  45.6  0 2 4
41.98  31.0  2 0 0
43.19  15.4  1 3 0
46.87  13.0  1 0 5
60.66  30.6  2 2 4
69.54  19.3  1 2 7
71.30  11.8  3 2 1

---

(9)
For Ac3Al3Au8, a GGA-PBE-relaxed structure gives the calculated X-ray diffraction stick pattern in this record (Cu Kα).
Lines closer than 0.1° are merged.

```
data_Ac3Al3Au8
_chemical_formula_sum 'Ac6 Al6 Au16'
_symmetry_space_group_name_H-M 'C 1 2/m 1'
_symmetry_Int_Tables_number 12
_cell_length_a 17.1810
_cell_length_b 4.6575
_cell_length_c 9.3879
_cell_angle_alpha 90.00
_cell_angle_beta 121.90
_cell_angle_gamma 90.00
loop_
_symmetry_equiv_pos_as_xyz
'x,y,z'
'-x,-y,-z'
'-x,y,-z'
'x,-y,z'
'x+1/2,y+1/2,z'
'-x+1/2,-y+1/2,-z'
'-x+1/2,y+1/2,-z'
'x+1/2,-y+1/2,z'
loop_
_atom_site_label
_atom_site_type_symbol
_atom_site_fract_x
_atom_site_fract_y
_atom_site_fract_z
Ac1 Ac 0.0000 0.0000 0.0000
Ac2 Ac 0.2050 0.5000 0.6654
Al1 Al 0.0000 0.0000 0.5000
Al2 Al 0.1728 0.5000 0.0031
Au1 Au 0.0168 0.5000 0.6881
Au2 Au 0.1131 0.0000 0.3962
Au3 Au 0.1396 0.5000 0.2414
Au4 Au 0.1437 0.0000 0.8509
```

Peak list (10 most intense, 2θ from 10° to 90°, by angle)
Position (°2θ)  I_rel  h k l
29.32  32.9  4 0 -3
32.52  100.0  1 1 2
32.77  72.2  5 1 -1
32.99  19.4  5 1 -2
34.54  17.0  3 1 -3
36.34  16.8  5 1 0
36.95  36.6  5 1 -3
38.66  49.6  0 2 0
49.26  16.2  4 2 -3
53.34  13.5  10 0 -3

---

(10)
For AcBeAlAu6, a GGA-PBE-relaxed structure gives the calculated X-ray diffraction stick pattern in this record (Cu Kα).
Lines closer than 0.1° are merged.

```
data_AcBeAlAu6
_chemical_formula_sum 'Ac4 Be4 Al4 Au24'
_symmetry_space_group_name_H-M 'I m m a'
_symmetry_Int_Tables_number 74
_symmetry_space_group_name_Hall '-I 2b 2'
_cell_length_a 8.0677
_cell_length_b 8.8669
_cell_length_c 11.1921
_cell_angle_alpha 90.00
_cell_angle_beta 90.00
_cell_angle_gamma 90.00
loop_
_atom_site_label
_atom_site_type_symbol
_atom_site_fract_x
_atom_site_fract_y
_atom_site_fract_z
Ac1 Ac 0.0000 0.2500 0.1787
Be1 Be 0.0000 0.0000 0.5000
Al1 Al 0.2500 0.2500 0.7500
Au1 Au 0.0000 0.2500 0.4622
Au2 Au 0.0000 0.2500 0.8870
Au3 Au 0.2241 0.0060 0.6266
```

Peak list (10 most intense, 2θ from 10° to 90°, by angle)
Position (°2θ)  I_rel  h k l
29.95  100.0  2 2 0
31.99  18.5  0 0 4
33.29  26.7  1 2 3
35.43  13.8  1 1 4
38.03  14.3  0 2 4
40.70  25.7  0 4 0
41.39  13.3  3 0 3
44.39  32.1  2 2 4
44.94  15.5  4 0 0
62.23  11.8  4 4 0

---

(11)
For AcErAl2Au2, a GGA-PBE-relaxed structure gives the calculated X-ray diffraction stick pattern in this record (Cu Kα).
Lines closer than 0.1° are merged.

```
data_AcErAl2Au2
_chemical_formula_sum 'Ac1 Er1 Al2 Au2'
_symmetry_space_group_name_H-M 'P -3 m 1'
_symmetry_Int_Tables_number 164
_symmetry_space_group_name_Hall '-P 3 2"'
_cell_length_a 4.6048
_cell_length_b 4.6048
_cell_length_c 7.7387
_cell_angle_alpha 90.00
_cell_angle_beta 90.00
_cell_angle_gamma 120.00
loop_
_atom_site_label
_atom_site_type_symbol
_atom_site_fract_x
_atom_site_fract_y
_atom_site_fract_z
Ac1 Ac 0.0000 0.0000 0.0000
Er1 Er 0.0000 0.0000 0.5000
Al1 Al 0.3333 0.6667 0.7017
Au1 Au 0.3333 0.6667 0.2970
```

Peak list (10 most intense, 2θ from 10° to 90°, by angle)
Position (°2θ)  I_rel  h k l
25.12  49.2  0 1 1
32.24  100.0  1 0 2
39.13  58.8  1 1 0
47.03  14.8  0 0 4
51.56  27.2  0 2 2
52.58  12.1  0 1 4
53.33  11.4  1 1 3
62.76  21.5  1 1 4
66.58  25.5  2 1 2
70.89  10.5  3 0 0

---

(12)
For Ac2AlGaAu6, a GGA-PBE-relaxed structure gives the calculated X-ray diffraction stick pattern in this record (Cu Kα).
Lines closer than 0.1° are merged.

```
data_Ac2AlGaAu6
_chemical_formula_sum 'Ac2 Al1 Ga1 Au6'
_symmetry_space_group_name_H-M 'P -1'
_symmetry_Int_Tables_number 2
_cell_length_a 5.9970
_cell_length_b 7.0243
_cell_length_c 7.0251
_cell_angle_alpha 74.27
_cell_angle_beta 64.88
_cell_angle_gamma 64.85
loop_
_symmetry_equiv_pos_as_xyz
'x,y,z'
'-x,-y,-z'
loop_
_atom_site_label
_atom_site_type_symbol
_atom_site_fract_x
_atom_site_fract_y
_atom_site_fract_z
Ac1 Ac 0.2472 0.2904 0.2120
Al1 Al 0.0000 0.0000 0.0000
Ga1 Ga 0.5000 0.5000 0.5000
Au1 Au 0.2496 0.2473 0.7543
Au2 Au 0.2506 0.8810 0.6220
Au3 Au 0.2520 0.7549 0.2449
```

Peak list (10 most intense, 2θ from 10° to 90°, by angle)
Position (°2θ)  I_rel  h k l
27.42  70.8  1 0 2
28.24  100.0  0 0 2
35.37  58.9  2 0 0
35.48  58.4  2 2 2
36.71  72.2  2 0 2
37.97  62.3  0 2 2
38.58  29.3  1 -2 0
40.06  38.2  1 3 0
46.94  24.8  0 3 -1
53.77  24.4  2 0 -2

---

(13)
For AcAlGa2Au4, a GGA-PBE-relaxed structure gives the calculated X-ray diffraction stick pattern in this record (Cu Kα).
Lines closer than 0.1° are merged.

```
data_AcAlGa2Au4
_chemical_formula_sum 'Ac3 Al3 Ga6 Au12'
_symmetry_space_group_name_H-M 'R -3 m'
_symmetry_Int_Tables_number 166
_symmetry_space_group_name_Hall '-R 3 2"'
_cell_length_a 4.5464
_cell_length_b 4.5464
_cell_length_c 27.9127
_cell_angle_alpha 90.00
_cell_angle_beta 90.00
_cell_angle_gamma 120.00
loop_
_atom_site_label
_atom_site_type_symbol
_atom_site_fract_x
_atom_site_fract_y
_atom_site_fract_z
Ac1 Ac 0.0000 0.0000 0.0000
Al1 Al 0.0000 0.0000 0.5000
Ga1 Ga 0.0000 0.0000 0.2479
Au1 Au 0.0000 0.0000 0.1403
Au2 Au 0.0000 0.0000 0.4040
```

Peak list (10 most intense, 2θ from 10° to 90°, by angle)
Position (°2θ)  I_rel  h k l
27.73  40.2  0 1 5
31.94  71.5  1 0 7
34.34  53.7  0 1 8
39.65  100.0  1 1 0
42.38  19.7  0 1 11
51.79  18.9  0 2 7
53.44  15.4  2 0 8
64.77  32.0  1 1 15
67.14  17.6  2 1 7
71.94  18.0  3 0 0